KNaNbOF5: theoretical powder X-ray diffraction pattern (Cu Kα X-rays), based on a DFT-relaxed cell (GGA-PBE, OQMD).
Intensities are scaled so that the largest is 1000.

Cell and atoms:
```
36
Lattice="10.7623 0.0000 0.0000 0.0000 8.1368 0.0000 0.0000 0.0000 6.0361" Properties=species:S:1:pos:R:3 pbc="T T T"
K 0.0000 0.0000 0.0000
K 0.0000 4.0684 0.0000
K 5.3812 0.0000 3.0181
K 5.3812 4.0684 3.0181
Na 1.3986 2.0342 2.4972
Na 3.9826 6.1026 5.5152
Na 6.7797 2.0342 0.5209
Na 9.3638 6.1026 3.5389
Nb 1.8202 6.1026 2.6081
Nb 3.5609 2.0342 5.6262
Nb 7.2014 6.1026 0.4100
Nb 8.9421 2.0342 3.4280
O 1.9308 2.0342 0.2979
O 3.4504 6.1026 3.3160
O 7.3119 2.0342 2.7202
O 8.8315 6.1026 5.7382
F 0.1362 2.0342 4.2615
F 0.7819 6.1026 4.3129
F 1.6024 4.1604 2.4501
F 1.6024 8.0447 2.4501
F 2.2103 6.1026 0.6818
F 3.1708 2.0342 3.6999
F 3.7787 0.0920 5.4682
F 3.7787 3.9763 5.4682
F 4.5993 2.0342 1.2948
F 5.2450 6.1026 1.2435
F 5.5173 2.0342 4.7927
F 6.1630 6.1026 4.7413
F 6.9836 4.1604 0.5680
F 6.9836 8.0447 0.5680
F 7.5915 6.1026 2.3362
F 8.5520 2.0342 5.3543
F 9.1599 0.0920 3.5860
F 9.1599 3.9763 3.5860
F 9.9804 2.0342 1.7233
F 10.6262 6.1026 1.7746
```

The 10 most intense peaks (2θ from 5° to 70°), in order of rising 2θ:
- (2 1 0), 2θ = 19.8°, intensity 605
- (1 1 1), 2θ = 20.1°, intensity 1000
- (0 2 0), 2θ = 21.8°, intensity 674
- (2 0 1), 2θ = 22.1°, intensity 348
- (2 2 0), 2θ = 27.5°, intensity 324
- (1 2 1), 2θ = 27.7°, intensity 624
- (3 0 1), 2θ = 29.0°, intensity 967
- (2 2 2), 2θ = 40.8°, intensity 417
- (0 4 0), 2θ = 44.5°, intensity 509
- (2 0 3), 2θ = 48.3°, intensity 311



BaMoAu2S4: theoretical powder X-ray diffraction pattern (Cu Kα X-rays), based on a DFT-relaxed cell (GGA-PBE, OQMD).
Intensities are scaled so that the largest is 1000.

Cell and atoms:
```
16
Lattice="6.3366 0.0000 0.0000 0.0000 7.8284 0.0000 0.0000 0.0000 8.2831" Properties=species:S:1:pos:R:3 pbc="T T T"
Ba 0.0000 0.0000 0.0000
Ba 3.1683 3.9142 4.1415
Mo 0.0000 0.0000 4.1415
Mo 3.1683 3.9142 0.0000
Au 0.0000 3.9142 1.4481
Au 0.0000 3.9142 6.8350
Au 3.1683 0.0000 2.6934
Au 3.1683 0.0000 5.5897
S 1.2581 1.3667 2.7414
S 1.2581 6.4617 5.5417
S 1.9101 2.5475 6.8829
S 1.9101 5.2809 1.4001
S 4.4264 2.5475 1.4001
S 4.4264 5.2809 6.8829
S 5.0784 1.3667 5.5417
S 5.0784 6.4617 2.7414
```

The 10 most intense peaks (2θ from 5° to 70°), in order of rising 2θ:
- (0 1 1), 2θ = 15.6°, intensity 228
- (1 0 1), 2θ = 17.6°, intensity 191
- (0 2 0), 2θ = 22.7°, intensity 443
- (2 0 0), 2θ = 28.2°, intensity 1000
- (1 2 1), 2θ = 28.9°, intensity 197
- (0 1 3), 2θ = 34.4°, intensity 249
- (2 2 0), 2θ = 36.5°, intensity 426
- (1 2 3), 2θ = 42.5°, intensity 174
- (1 3 2), 2θ = 43.4°, intensity 259
- (3 1 2), 2θ = 49.8°, intensity 183



Na4SiSnAu2: theoretical powder X-ray diffraction pattern (Cu Kα X-rays), based on a DFT-relaxed cell (GGA-PBE, OQMD).
Intensities are scaled so that the largest is 1000.

Cell and atoms:
```
8
Lattice="4.7708 0.0000 0.0000 0.0000 4.7708 0.0000 0.0000 0.0000 7.0136" Properties=species:S:1:pos:R:3 pbc="T T T"
Na 0.0000 0.0000 0.0000
Na 0.0000 2.3854 5.1371
Na 2.3854 0.0000 1.8765
Na 2.3854 2.3854 3.5068
Si 0.0000 0.0000 3.5068
Sn 2.3854 2.3854 0.0000
Au 0.0000 2.3854 1.8957
Au 2.3854 0.0000 5.1178
```

The 10 most intense peaks (2θ from 5° to 70°), in order of rising 2θ:
- (1 0 1), 2θ = 22.5°, intensity 1000
- (1 1 0), 2θ = 26.4°, intensity 160
- (1 1 2), 2θ = 37.0°, intensity 899
- (2 0 0), 2θ = 37.7°, intensity 445
- (1 0 3), 2θ = 43.1°, intensity 170
- (2 1 1), 2θ = 44.4°, intensity 355
- (2 2 0), 2θ = 54.4°, intensity 154
- (2 1 3), 2θ = 58.6°, intensity 141
- (2 0 4), 2θ = 66.1°, intensity 143
- (3 1 2), 2θ = 67.6°, intensity 306